For InHSeO4, a PBE-relaxed structure gives the theoretical XRD peak list in this record (Cu Kα (λ = 1.5418 Å)).
No peak broadening, texture or thermal motion is included.

Cell and atoms:
Cell: 12.124 4.870 6.402 Å, 90.00 90.00 90.00°
Space group Pna2_1 (No. 33)
Asymmetric unit:
In  0.009  0.012  0.000 (multiplicity 4)
H  0.114  0.472  0.620 (multiplicity 4)
Se  0.189  0.484  0.277 (multiplicity 4)
O  0.079  0.180  0.736 (multiplicity 4)
O  0.080  0.249  0.258 (multiplicity 4)
O  0.135  0.637  0.523 (multiplicity 4)
O  0.159  0.722  0.097 (multiplicity 4)

Main lines, in order of falling intensity (2θ from 5° to 70°):
2θ = 28.7°, I = 100; 2θ = 34.3°, I = 52; 2θ = 24.1°, I = 50; 2θ = 19.6°, I = 42; 2θ = 31.6°, I = 42; 2θ = 49.4°, I = 37; 2θ = 50.8°, I = 37; 2θ = 14.6°, I = 29; 2θ = 20.2°, I = 22; 2θ = 65.6°, I = 15

=====

For ErTmCdRh, a PBE-relaxed structure gives the theoretical XRD peak list in this record (Cu Kα (λ = 1.5418 Å)).
No peak broadening, texture or thermal motion is included.

Cell and atoms:
Cell: 3.468 3.468 7.475 Å, 90.00 90.00 90.00°
Space group P4mm (No. 99)
Asymmetric unit:
Er  0.000  0.000  0.000 (multiplicity 1)
Tm  0.000  0.000  0.566 (multiplicity 1)
Cd  0.500  0.500  0.285 (multiplicity 1)
Rh  0.500  0.500  0.781 (multiplicity 1)

Main lines, in order of falling intensity (2θ from 5° to 70°):
2θ = 35.3°, I = 100; 2θ = 36.6°, I = 50; 2θ = 65.1°, I = 33; 2θ = 52.8°, I = 17; 2θ = 62.5°, I = 13; 2θ = 48.7°, I = 7; 2θ = 44.8°, I = 6; 2θ = 25.7°, I = 5; 2θ = 52.3°, I = 5; 2θ = 68.3°, I = 5

=====

For Tl3RuI6, a PBE-relaxed structure gives the theoretical XRD peak list in this record (Cu Kα (λ = 1.5418 Å)).
No peak broadening, texture or thermal motion is included.

Cell and atoms:
Cell: 9.854 12.137 14.590 Å, 90.00 90.00 90.00°
Space group Fmmm (No. 69)
Asymmetric unit:
Tl  0.000  0.000  0.000 (multiplicity 4)
Tl  0.250  0.250  0.250 (multiplicity 8)
Ru  0.000  0.000  0.500 (multiplicity 4)
I  0.000  0.225  0.500 (multiplicity 8)
I  0.194  0.000  0.369 (multiplicity 16)

Main lines, in order of falling intensity (2θ from 5° to 70°):
2θ = 21.8°, I = 100; 2θ = 29.4°, I = 49; 2θ = 34.0°, I = 48; 2θ = 36.9°, I = 48; 2θ = 28.6°, I = 37; 2θ = 19.0°, I = 25; 2θ = 55.2°, I = 25; 2θ = 41.4°, I = 23; 2θ = 51.6°, I = 20; 2θ = 35.7°, I = 15

=====

For BaSi6N8O, a PBE-relaxed structure gives the theoretical XRD peak list in this record (Cu Kα (λ = 1.5418 Å)).
No peak broadening, texture or thermal motion is included.

Cell and atoms:
Cell: 8.187 9.785 4.876 Å, 90.00 90.00 90.00°
Space group Imm2 (No. 44)
Asymmetric unit:
Ba  0.000  0.000  0.000 (multiplicity 2)
Si  0.000  0.339  0.461 (multiplicity 4)
Si  0.196  0.341  0.964 (multiplicity 8)
N  0.000  0.311  0.810 (multiplicity 4)
N  0.174  0.277  0.303 (multiplicity 8)
N  0.228  0.000  0.435 (multiplicity 4)
O  0.000  0.500  0.378 (multiplicity 2)

Main lines, in order of falling intensity (2θ from 5° to 70°):
2θ = 29.9°, I = 100; 2θ = 29.5°, I = 57; 2θ = 28.0°, I = 31; 2θ = 42.2°, I = 21; 2θ = 36.9°, I = 21; 2θ = 28.4°, I = 20; 2θ = 33.0°, I = 20; 2θ = 21.2°, I = 20; 2θ = 53.7°, I = 19; 2θ = 47.9°, I = 18

=====

For Ba5Zr, a PBE-relaxed structure gives the theoretical XRD peak list in this record (Cu Kα (λ = 1.5418 Å)).
No peak broadening, texture or thermal motion is included.

Cell and atoms:
Cell: 4.153 4.153 18.123 Å, 90.00 90.00 90.00°
Space group P4/mmm (No. 123)
Asymmetric unit:
Ba  0.000  0.000  0.000 (multiplicity 1)
Ba  0.000  0.000  0.375 (multiplicity 2)
Ba  0.500  0.500  0.189 (multiplicity 2)
Zr  0.500  0.500  0.500 (multiplicity 1)

Main lines, in order of falling intensity (2θ from 5° to 70°):
2θ = 26.0°, I = 100; 2θ = 30.4°, I = 45; 2θ = 51.5°, I = 30; 2θ = 39.5°, I = 17; 2θ = 43.6°, I = 16; 2θ = 45.6°, I = 16; 2θ = 23.6°, I = 16; 2θ = 24.6°, I = 15; 2θ = 64.9°, I = 15; 2θ = 29.2°, I = 10

=====

For TcGeO4, a PBE-relaxed structure gives the theoretical XRD peak list in this record (Cu Kα (λ = 1.5418 Å)).
No peak broadening, texture or thermal motion is included.

Cell and atoms:
Cell: 4.613 4.613 9.060 Å, 90.00 90.00 90.00°
Space group P-42c (No. 112)
Asymmetric unit:
Tc  0.000  0.000  0.000 (multiplicity 2)
Ge  0.000  0.500  0.250 (multiplicity 2)
O  0.200  0.262  0.374 (multiplicity 8)

Main lines, in order of falling intensity (2θ from 5° to 70°):
2θ = 33.9°, I = 100; 2θ = 19.2°, I = 72; 2θ = 21.6°, I = 65; 2θ = 27.6°, I = 50; 2θ = 57.0°, I = 32; 2θ = 67.5°, I = 24; 2θ = 48.5°, I = 21; 2θ = 56.4°, I = 16; 2θ = 68.5°, I = 15; 2θ = 39.1°, I = 13

=====

For La2AlCu, a PBE-relaxed structure gives the theoretical XRD peak list in this record (Cu Kα (λ = 1.5418 Å)).
No peak broadening, texture or thermal motion is included.

Cell and atoms:
Cell: 5.591 4.452 8.751 Å, 90.00 98.53 90.00°
Space group P2_1/m (No. 11)
Asymmetric unit:
La  0.220  0.250  0.438 (multiplicity 2)
La  0.269  0.750  0.090 (multiplicity 2)
Al  0.321  0.750  0.732 (multiplicity 2)
Cu  0.179  0.250  0.789 (multiplicity 2)

Main lines, in order of falling intensity (2θ from 5° to 70°):
2θ = 28.8°, I = 100; 2θ = 28.6°, I = 89; 2θ = 26.8°, I = 70; 2θ = 32.4°, I = 56; 2θ = 37.2°, I = 49; 2θ = 32.8°, I = 46; 2θ = 40.5°, I = 40; 2θ = 41.4°, I = 35; 2θ = 56.2°, I = 29; 2θ = 52.8°, I = 28

=====

For Ce6AlZn2, a PBE-relaxed structure gives the theoretical XRD peak list in this record (Cu Kα (λ = 1.5418 Å)).
No peak broadening, texture or thermal motion is included.

Cell and atoms:
Cell: 8.8487 8.8487 2.9170 Å, 90.00 90.00 120.00°
Space group P6/mmm (No. 191)
Asymmetric unit:
Ce  0.0000  0.3354  0.0000 (multiplicity 6)
Al  0.0000  0.0000  0.5000 (multiplicity 1)
Zn  0.3333  0.6667  0.5000 (multiplicity 2)

Main lines, in order of falling intensity (2θ from 5° to 70°):
2θ = 35.1°, I = 100; 2θ = 36.9°, I = 60; 2θ = 47.3°, I = 38; 2θ = 20.1°, I = 25; 2θ = 64.2°, I = 23; 2θ = 51.9°, I = 22; 2θ = 30.6°, I = 21; 2θ = 63.0°, I = 18; 2θ = 63.8°, I = 6; 2θ = 40.8°, I = 4

=====

For ZrFeHRh2, a PBE-relaxed structure gives the theoretical XRD peak list in this record (Cu Kα (λ = 1.5418 Å)).
No peak broadening, texture or thermal motion is included.

Cell and atoms:
Cell: 4.024 4.024 3.884 Å, 90.00 90.00 90.00°
Space group P4/mmm (No. 123)
Asymmetric unit:
Zr  0.000  0.000  0.000 (multiplicity 1)
Fe  0.500  0.500  0.000 (multiplicity 1)
H  0.500  0.500  0.500 (multiplicity 1)
Rh  0.000  0.500  0.500 (multiplicity 2)

Main lines, in order of falling intensity (2θ from 5° to 70°):
2θ = 39.2°, I = 100; 2θ = 45.1°, I = 34; 2θ = 67.0°, I = 20; 2θ = 46.8°, I = 15; 2θ = 65.6°, I = 11; 2θ = 22.9°, I = 3; 2θ = 31.4°, I = 2; 2θ = 22.1°, I = 2; 2θ = 32.0°, I = 2; 2θ = 51.1°, I = 1

=====

For Cr3Pb5, a PBE-relaxed structure gives the theoretical XRD peak list in this record (Cu Kα (λ = 1.5418 Å)).
No peak broadening, texture or thermal motion is included.

Cell and atoms:
Cell: 6.328 8.117 8.201 Å, 85.59 75.71 76.56°
Space group P1 (No. 1)
Asymmetric unit:
Cr  0.000  0.000  0.000 (multiplicity 1)
Cr  0.128  0.504  0.825 (multiplicity 1)
Cr  0.372  0.525  0.149 (multiplicity 1)
Cr  0.501  0.031  0.969 (multiplicity 1)
Cr  0.633  0.853  0.477 (multiplicity 1)
Cr  0.862  0.176  0.500 (multiplicity 1)
Pb  0.000  0.514  0.484 (multiplicity 1)
Pb  0.092  0.289  0.132 (multiplicity 1)
Pb  0.209  0.883  0.298 (multiplicity 1)
Pb  0.289  0.147  0.674 (multiplicity 1)
Pb  0.407  0.740  0.843 (multiplicity 1)
Pb  0.498  0.515  0.490 (multiplicity 1)
Pb  0.592  0.158  0.260 (multiplicity 1)
Pb  0.717  0.328  0.854 (multiplicity 1)
Pb  0.782  0.703  0.120 (multiplicity 1)
Pb  0.909  0.868  0.713 (multiplicity 1)

Main lines, in order of falling intensity (2θ from 5° to 70°):
2θ = 33.0°, I = 100; 2θ = 35.9°, I = 85; 2θ = 34.2°, I = 70; 2θ = 33.9°, I = 66; 2θ = 35.5°, I = 64; 2θ = 24.9°, I = 51; 2θ = 37.3°, I = 45; 2θ = 36.9°, I = 45; 2θ = 35.7°, I = 44; 2θ = 51.0°, I = 39

=====

For MnGaCoRuS, a PBE-relaxed structure gives the theoretical XRD peak list in this record (Cu Kα (λ = 1.5418 Å)).
No peak broadening, texture or thermal motion is included.

Cell and atoms:
Cell: 3.198 3.928 11.576 Å, 90.00 90.00 90.00°
Space group Imm2 (No. 44)
Asymmetric unit:
Mn  0.000  0.000  0.000 (multiplicity 2)
Ga  0.000  0.500  0.184 (multiplicity 2)
Co  0.000  0.000  0.510 (multiplicity 2)
Ru  0.000  0.500  0.683 (multiplicity 2)
S  0.000  0.500  0.884 (multiplicity 2)

Main lines, in order of falling intensity (2θ from 5° to 70°):
2θ = 39.5°, I = 100; 2θ = 48.3°, I = 58; 2θ = 15.3°, I = 46; 2θ = 46.2°, I = 27; 2θ = 30.9°, I = 26; 2θ = 47.1°, I = 20; 2θ = 57.6°, I = 13; 2θ = 68.1°, I = 13; 2θ = 56.6°, I = 9; 2θ = 36.2°, I = 9

=====

For RePb2F8, a PBE-relaxed structure gives the theoretical XRD peak list in this record (Cu Kα (λ = 1.5418 Å)).
No peak broadening, texture or thermal motion is included.

Cell and atoms:
Cell: 4.867 6.395 6.983 Å, 110.96 93.37 106.94°
Space group P-1 (No. 2)
Asymmetric unit:
Re  0.000  0.000  0.000 (multiplicity 1)
Pb  0.234  0.397  0.667 (multiplicity 2)
F  0.120  0.041  0.294 (multiplicity 2)
F  0.243  0.802  0.889 (multiplicity 2)
F  0.282  0.596  0.440 (multiplicity 2)
F  0.292  0.303  0.022 (multiplicity 2)

Main lines, in order of falling intensity (2θ from 5° to 70°):
2θ = 24.8°, I = 100; 2θ = 20.5°, I = 93; 2θ = 26.0°, I = 91; 2θ = 27.6°, I = 81; 2θ = 25.9°, I = 71; 2θ = 26.3°, I = 45; 2θ = 29.2°, I = 42; 2θ = 37.1°, I = 41; 2θ = 45.9°, I = 35; 2θ = 19.4°, I = 34